Diffraction record for Ce3HgO. The powder X-ray diffraction pattern is simulated, not measured: it uses a cell relaxed with PBE and λ = 1.5418 Å (Cu Kα).
Lines closer than 0.1° are merged.

Cell: 4.8788 4.8788 4.8788 Å, 90.00 90.00 90.00°
Fractional positions:
Ce: 0.0000 0.0000 0.5000
Ce: 0.0000 0.5000 0.0000
Ce: 0.5000 0.0000 0.0000
Hg: 0.5000 0.5000 0.5000
O: 0.0000 0.0000 0.0000

The 8 most intense peaks (15° ≤ 2θ ≤ 90°), most intense first:
hkl, d (Å), 2θ (°), I_rel
1 1 1, 2.817, 31.8, 100
2 0 0, 2.439, 36.8, 56
3 1 1, 1.471, 63.2, 43
2 2 0, 1.725, 53.1, 39
4 2 0, 1.091, 89.9, 19
3 3 1, 1.119, 87.1, 18
2 2 2, 1.408, 66.4, 13
4 0 0, 1.220, 78.4, 6